Simulated X-ray powder pattern of Tl2NiP2O6 for λ = 1.5418 Å (Cu Kα), from a PBE+U-relaxed structure.
Neutral-atom scattering factors, no anomalous dispersion.

Cell and atoms:
a b c (Å): 6.408 6.408 6.408
angles (deg): 52.61 52.61 52.61
Fractional positions:
Tl1 0.223 0.223 0.223
Tl2 0.777 0.777 0.777
Ni1 0.000 0.000 0.000
P1 0.432 0.432 0.432
P2 0.568 0.568 0.568
O1 0.255 0.255 0.710
O2 0.255 0.710 0.255
O3 0.290 0.745 0.745
O4 0.710 0.255 0.255
O5 0.745 0.290 0.745
O6 0.745 0.745 0.290

Top 8 peaks for 2θ = 10–90°, sorted by position:
- 21.0 deg, I = 58
- 28.2 deg, I = 58
- 31.5 deg, I = 100
- 32.7 deg, I = 67
- 38.2 deg, I = 32
- 42.8 deg, I = 36
- 46.0 deg, I = 28
- 60.0 deg, I = 36